Theoretical powder XRD pattern
Compound: TeOsIN2
Radiation: Cu Kα (λ = 1.5418 Å)
Structure: a crystal structure in Alexandria, relaxed with PBE
Kinematic intensities with the Lorentz-polarization factor, no thermal factor.

The 10 most intense peaks (10° ≤ 2θ ≤ 90°), sorted by position:
d/Å, 2theta, intensity, h k l
4.000, 22.2, 49.2, 1 0 0
3.303, 27.0, 63.5, 1 0 1
2.927, 30.5, 71.2, 0 0 2
2.829, 31.6, 100.0, 1 1 0
2.362, 38.1, 25.1, 1 0 2
2.034, 44.5, 79.2, 1 1 2
2.000, 45.3, 47.1, 2 0 0
1.651, 55.7, 50.7, 2 0 2
1.300, 72.7, 23.0, 1 1 4
1.161, 83.2, 27.0, 3 1 2

Atomic structure:
Cell: 4.000 4.000 5.854 Å, 90.00 90.00 90.00°
Space group P4/mmm (No. 123)
Inequivalent atoms, fractional coordinates:
Te: 0.000 0.000 0.000 [1 per cell]
Os: 0.000 0.000 0.500 [1 per cell]
I: 0.500 0.500 0.000 [1 per cell]
N: 0.000 0.500 0.500 [2 per cell]